No. 1
For Cd2Cl4O5, a DFT-relaxed cell (PBE, the Materials Project) gives the computed powder X-ray diffraction pattern in this record (Cu Ka).
No peak broadening, texture or thermal motion is included.

Largest 6 diffraction maxima, in order of rising 2θ, 2θ = 10–90°:
2θ (°)  Rel. int.
10.93  30
11.37  100
11.69  34
19.64  18
22.86  28
23.23  15

Structural model:
Cell: 9.9857 11.6594 14.4235 Å, 90.00 128.81 90.00°
Element x y z (fractional)
1 Cd 0.0049 0.0837 0.3034
2 Cd 0.0049 0.4163 0.8034
3 Cd 0.0415 0.6730 0.9548
4 Cd 0.0415 0.8270 0.4548
5 Cd 0.9585 0.1730 0.5452
6 Cd 0.9585 0.3270 0.0452
7 Cd 0.9951 0.5837 0.1966
8 Cd 0.9951 0.9163 0.6966
9 Cl 0.0051 0.7426 0.5971
10 Cl 0.0051 0.7574 0.0971
11 Cl 0.0196 0.6253 0.3736
12 Cl 0.0196 0.8747 0.8736
13 Cl 0.2009 0.0282 0.6799
14 Cl 0.2009 0.4718 0.1799
15 Cl 0.2407 0.5630 0.9380
16 Cl 0.2407 0.9370 0.4380
17 Cl 0.7593 0.0630 0.5620
18 Cl 0.7593 0.4370 0.0620
19 Cl 0.7991 0.5282 0.8201
20 Cl 0.7991 0.9718 0.3201
21 Cl 0.9804 0.1253 0.1264
22 Cl 0.9804 0.3747 0.6264
23 Cl 0.9949 0.2426 0.9029
24 Cl 0.9949 0.2574 0.4029
25 O 0.3445 0.1118 0.9544
26 O 0.3445 0.3882 0.4544
27 O 0.4159 0.1422 0.2041
28 O 0.4159 0.3578 0.7041
29 O 0.4827 0.2426 0.2410
30 O 0.4827 0.2574 0.7410
31 O 0.4877 0.1463 0.9930
32 O 0.4877 0.3537 0.4930
33 O 0.4963 0.1951 0.6736
34 O 0.4963 0.3049 0.1736
35 O 0.5037 0.6951 0.8264
36 O 0.5037 0.8049 0.3264
37 O 0.5123 0.6463 0.5070
38 O 0.5123 0.8537 0.0070
39 O 0.5173 0.7426 0.2590
40 O 0.5173 0.7574 0.7590
41 O 0.5841 0.6422 0.2959
42 O 0.5841 0.8578 0.7959
43 O 0.6555 0.6118 0.5456
44 O 0.6555 0.8882 0.0456

=====

No. 2
For Cd5P3ClO12, a DFT-relaxed cell (PBE, the Materials Project) gives the computed powder X-ray diffraction pattern in this record (Cu Ka).
No peak broadening, texture or thermal motion is included.

Largest 6 diffraction maxima, in order of rising 2θ, 2θ = 10–90°:
2θ (°)  Rel. int.
27.45  31
29.10  34
30.70  100
31.22  95
32.69  74
47.10  46

Structural model:
Cell: 9.9249 9.9249 6.5701 Å, 90.00 90.00 120.00°
Element x y z (fractional)
1 Cd 0.0285 0.2761 0.2500
2 Cd 0.2475 0.9715 0.2500
3 Cd 0.2761 0.2475 0.7500
4 Cd 0.3333 0.6667 0.5043
5 Cd 0.3333 0.6667 0.9957
6 Cd 0.6667 0.3333 0.0043
7 Cd 0.6667 0.3333 0.4957
8 Cd 0.7239 0.7525 0.2500
9 Cd 0.7525 0.0285 0.7500
10 Cd 0.9715 0.7239 0.7500
11 P 0.0248 0.6206 0.2500
12 P 0.3794 0.4042 0.2500
13 P 0.4042 0.0248 0.7500
14 P 0.5958 0.9752 0.2500
15 P 0.6206 0.5958 0.7500
16 P 0.9752 0.3794 0.7500
17 Cl 0.0000 0.0000 0.2500
18 Cl 0.0000 0.0000 0.7500
19 O 0.0729 0.7289 0.0604
20 O 0.0729 0.7289 0.4396
21 O 0.1325 0.5444 0.2500
22 O 0.1491 0.5060 0.7500
23 O 0.2711 0.3441 0.0604
24 O 0.2711 0.3441 0.4396
25 O 0.3441 0.0729 0.5604
26 O 0.3441 0.0729 0.9396
27 O 0.3569 0.8509 0.7500
28 O 0.4119 0.8675 0.2500
29 O 0.4556 0.5881 0.2500
30 O 0.4940 0.6431 0.7500
31 O 0.5060 0.3569 0.2500
32 O 0.5444 0.4119 0.7500
33 O 0.5881 0.1325 0.7500
34 O 0.6431 0.1491 0.2500
35 O 0.6559 0.9271 0.0604
36 O 0.6559 0.9271 0.4396
37 O 0.7289 0.6559 0.5604
38 O 0.7289 0.6559 0.9396
39 O 0.8509 0.4940 0.2500
40 O 0.8675 0.4556 0.7500
41 O 0.9271 0.2711 0.5604
42 O 0.9271 0.2711 0.9396

=====

No. 3
For CdPb2Cl2O2, a DFT-relaxed cell (PBE, the Materials Project) gives the computed powder X-ray diffraction pattern in this record (Cu Ka).
No peak broadening, texture or thermal motion is included.

Largest 6 diffraction maxima, in order of rising 2θ, 2θ = 10–90°:
2θ (°)  Rel. int.
13.41  31
28.64  63
30.05  100
34.17  93
48.77  29
55.67  27

Structural model:
Cell: 6.6084 6.6084 7.8412 Å, 121.01 121.01 34.27°
Element x y z (fractional)
1 Cd 0.0000 0.0000 0.0000
2 Pb 0.1875 0.1875 0.7656
3 Pb 0.8125 0.8125 0.2344
4 Cl 0.4347 0.4347 0.7041
5 Cl 0.5653 0.5653 0.2959
6 O 0.1928 0.1928 0.0673
7 O 0.8072 0.8072 0.9327